No. 1
Starting from a crystal structure in the Materials Project, relaxed with GGA-PBE, the X-ray diffraction stick pattern of TeMoWSeS2 was simulated for λ = 1.5418 Å (Cu Kα).
Intensities are scaled so that the largest is 100.

Most intense lines, 2θ = 10–90°, by intensity:
hkl 0 0 5, 2θ = 11.7°, rel. 100
hkl 1 0 8, 2θ = 36.7°, rel. 84
hkl 1 0 0, 2θ = 31.3°, rel. 48
hkl 0 1 13, 2θ = 44.5°, rel. 42
hkl 1 1 0, 2θ = 55.6°, rel. 26
hkl 1 0 5, 2θ = 33.5°, rel. 15
hkl 0 2 8, 2θ = 68.5°, rel. 13
hkl 0 1 10, 2θ = 39.5°, rel. 12
hkl 0 0 7, 2θ = 16.5°, rel. 12
hkl 1 1 21, 2θ = 78.7°, rel. 12

Structure:
Cell: 3.306 3.306 37.658 Å, 90.00 90.00 120.00°
Atoms (fractional coordinates):
Te  0.000  0.000  0.000
Te  0.000  0.000  0.102
Mo  0.000  0.000  0.239
Mo  0.333  0.667  0.051
W  0.000  0.000  0.863
W  0.333  0.667  0.427
Se  0.000  0.000  0.382
Se  0.000  0.000  0.471
S  0.333  0.667  0.198
S  0.333  0.667  0.279
S  0.333  0.667  0.822
S  0.333  0.667  0.904

No. 2
Starting from a crystal structure in the Materials Project, relaxed with GGA-PBE, the X-ray diffraction stick pattern of BaGe4O9 was simulated for λ = 1.5418 Å (Cu Kα).
Intensities are scaled so that the largest is 100.

Most intense lines, 2θ = 10–90°, by intensity:
hkl 1 1 1, 2θ = 23.8°, rel. 100
hkl 0 3 1, 2θ = 32.2°, rel. 87
hkl 2 2 0, 2θ = 30.2°, rel. 69
hkl 6 -3 1, 2θ = 50.0°, rel. 29
hkl 2 1 1, 2θ = 29.6°, rel. 24
hkl 4 1 1, 2θ = 44.7°, rel. 23
hkl 4 -2 2, 2θ = 48.8°, rel. 23
hkl 6 0 0, 2θ = 53.7°, rel. 23
hkl 6 3 1, 2θ = 76.4°, rel. 14
hkl 6 0 2, 2θ = 67.3°, rel. 14

Structure:
Cell: 11.824 11.824 4.810 Å, 90.00 90.00 120.00°
Atoms (fractional coordinates):
Ba  0.000  0.669  0.000
Ba  0.331  0.331  0.000
Ba  0.669  0.000  0.000
Ge  0.000  0.000  0.995
Ge  0.149  0.487  0.404
Ge  0.181  0.001  0.498
Ge  0.333  0.667  0.893
Ge  0.338  0.851  0.404
Ge  0.487  0.149  0.593
Ge  0.513  0.662  0.404
Ge  0.662  0.513  0.593
Ge  0.667  0.333  0.104
Ge  0.820  0.819  0.498
Ge  0.851  0.338  0.593
Ge  0.999  0.180  0.498
O  0.063  0.911  0.757
O  0.089  0.152  0.757
O  0.112  0.325  0.308
O  0.154  0.086  0.225
O  0.181  0.593  0.118
O  0.213  0.888  0.308
O  0.250  0.736  0.668
O  0.264  0.514  0.668
O  0.325  0.113  0.692
O  0.407  0.588  0.118
O  0.412  0.819  0.118
O  0.482  0.001  0.496
O  0.486  0.750  0.668
O  0.514  0.264  0.329
O  0.518  0.518  0.496
O  0.589  0.408  0.880
O  0.592  0.181  0.880
O  0.675  0.787  0.308
O  0.736  0.250  0.329
O  0.750  0.486  0.329
O  0.788  0.675  0.692
O  0.819  0.411  0.880
O  0.848  0.937  0.757
O  0.887  0.212  0.692
O  0.914  0.068  0.225
O  0.932  0.846  0.225
O  0.999  0.482  0.496